# Ce2Al2SnRh5
Simulated powder diffraction line list, a wavelength of 1.5418 Å. Input: DFT lattice parameters and positions (PBE).
Lines closer than 0.1° are merged.

Top 8 peaks for 15° ≤ 2θ ≤ 90°, low angle first:
index  2θ (°)  I_rel
2 1 1  31.9  52
2 2 1  35.6  34
4 1 0  37.2  62
3 1 1  37.9  100
4 2 0  40.5  25
3 2 1  41.2  32
0 0 2  50.6  22
4 1 2  64.5  31

abc: 9.9567 9.9567 3.6054
angles: 90.00 90.00 90.00
Positions (direct):
Ce 0.1786 0.3214 0.0000
Ce 0.3214 0.8214 0.0000
Ce 0.6786 0.1786 0.0000
Ce 0.8214 0.6786 0.0000
Al 0.1190 0.6190 0.0000
Al 0.3810 0.1190 0.0000
Al 0.6190 0.8810 0.0000
Al 0.8810 0.3810 0.0000
Sn 0.0000 0.0000 0.0000
Sn 0.5000 0.5000 0.0000
Rh 0.0000 0.5000 0.5000
Rh 0.0704 0.7878 0.5000
Rh 0.2122 0.0704 0.5000
Rh 0.2878 0.5704 0.5000
Rh 0.4296 0.2878 0.5000
Rh 0.5000 0.0000 0.5000
Rh 0.5704 0.7122 0.5000
Rh 0.7122 0.4296 0.5000
Rh 0.7878 0.9296 0.5000
Rh 0.9296 0.2122 0.5000